(1)
Starting from DFT lattice parameters and positions (GGA-PBE), the powder XRD pattern of Pa2Si4Pd3Au was calculated for Cu Kα (λ = 1.5418 Å).
Kinematic intensities with the Lorentz-polarization factor, no thermal factor.

Unit cell a=4.2625 b=4.2625 c=9.7591 alpha=90.00 beta=90.00 gamma=90.00
Positions (direct):
Pa  0.0000  0.5000  0.2434
Pa  0.5000  0.0000  0.7566
Si  0.0000  0.0000  0.0000
Si  0.0000  0.5000  0.6396
Si  0.5000  0.0000  0.3604
Si  0.5000  0.5000  0.0000
Pd  0.0000  0.5000  0.8828
Pd  0.5000  0.0000  0.1172
Pd  0.5000  0.5000  0.5000
Au  0.0000  0.0000  0.5000

Peak list (10 most intense, 5° ≤ 2θ ≤ 70°, sorted by position)
Position (°2θ), Rel. int.
22.77, 33
31.05, 33
34.69, 68
34.99, 100
42.41, 54
51.49, 22
55.91, 35
61.54, 18
65.17, 18
68.85, 17

(2)
Starting from DFT lattice parameters and positions (GGA-PBE), the powder XRD pattern of CePm2TmRh2 was calculated for Cu Kα (λ = 1.5418 Å).
Kinematic intensities with the Lorentz-polarization factor, no thermal factor.

Unit cell a=8.3964 b=8.3964 c=6.7334 alpha=113.50 beta=113.50 gamma=47.05
Positions (direct):
Ce  0.2498  0.7502  0.0000
Ce  0.7502  0.2498  0.0000
Pm  0.1909  0.1909  0.4261
Pm  0.3090  0.3090  0.0438
Pm  0.6910  0.6910  0.9562
Pm  0.8091  0.8091  0.5739
Tm  0.2502  0.7498  0.5000
Tm  0.7498  0.2502  0.5000
Rh  0.1102  0.1102  0.8706
Rh  0.3896  0.3896  0.6525
Rh  0.6104  0.6104  0.3475
Rh  0.8898  0.8898  0.1294

Peak list (10 most intense, 5° ≤ 2θ ≤ 70°, sorted by position)
Position (°2θ), Rel. int.
12.77, 18
29.50, 70
29.61, 70
31.96, 66
37.18, 18
37.31, 55
37.88, 100
43.55, 35
50.40, 18
59.12, 21

(3)
Starting from DFT lattice parameters and positions (GGA-PBE), the powder XRD pattern of Pm2PrSm2Er was calculated for Cu Kα (λ = 1.5418 Å).
Kinematic intensities with the Lorentz-polarization factor, no thermal factor.

Unit cell a=5.7374 b=9.9416 c=7.0793 alpha=90.00 beta=90.00 gamma=90.00
Positions (direct):
Pm  0.0000  0.1622  0.0000
Pm  0.0000  0.8378  0.5000
Pm  0.5000  0.3290  0.5003
Pm  0.5000  0.6710  0.0003
Pr  0.0000  0.4997  0.2502
Pr  0.0000  0.5003  0.7502
Sm  0.0000  0.1696  0.5003
Sm  0.0000  0.8304  0.0003
Sm  0.5000  0.0001  0.2501
Sm  0.5000  0.9999  0.7501
Er  0.5000  0.3351  0.0002
Er  0.5000  0.6649  0.5002

Peak list (10 most intense, 5° ≤ 2θ ≤ 70°, sorted by position)
Position (°2θ), Rel. int.
25.16, 7
31.02, 89
31.17, 100
40.47, 12
44.55, 33
51.65, 8
55.38, 41
55.47, 13
61.57, 29
65.01, 12

(4)
Starting from DFT lattice parameters and positions (GGA-PBE), the powder XRD pattern of Nd4Pt2Au5 was calculated for Cu Kα (λ = 1.5418 Å).
Kinematic intensities with the Lorentz-polarization factor, no thermal factor.

Unit cell a=7.5404 b=3.8386 c=9.1007 alpha=90.00 beta=93.88 gamma=90.00
Positions (direct):
Nd  0.2031  0.0000  0.3647
Nd  0.2438  0.0000  0.9203
Nd  0.7562  0.0000  0.0797
Nd  0.7969  0.0000  0.6353
Pt  0.0732  0.5000  0.1420
Pt  0.9268  0.5000  0.8580
Au  0.1640  0.5000  0.6351
Au  0.4512  0.5000  0.1688
Au  0.5000  0.5000  0.5000
Au  0.5488  0.5000  0.8312
Au  0.8360  0.5000  0.3649

Peak list (10 most intense, 5° ≤ 2θ ≤ 70°, sorted by position)
Position (°2θ), Rel. int.
23.17, 29
32.29, 43
33.31, 100
35.81, 16
36.52, 16
36.83, 17
37.85, 20
38.09, 15
39.74, 20
47.37, 31

(5)
Starting from DFT lattice parameters and positions (GGA-PBE), the powder XRD pattern of Ce2SmZn2In2 was calculated for Cu Kα (λ = 1.5418 Å).
Kinematic intensities with the Lorentz-polarization factor, no thermal factor.

Unit cell a=9.7051 b=9.7051 c=9.7051 alpha=27.23 beta=27.23 gamma=27.23
Positions (direct):
Ce  0.1431  0.1431  0.1431
Ce  0.8569  0.8569  0.8569
Sm  0.0000  0.0000  0.0000
Zn  0.4101  0.4101  0.4101
Zn  0.5899  0.5899  0.5899
In  0.2650  0.2650  0.2650
In  0.7350  0.7350  0.7350

Peak list (10 most intense, 5° ≤ 2θ ≤ 70°, sorted by position)
Position (°2θ), Rel. int.
22.70, 17
31.80, 100
34.19, 39
39.45, 82
48.76, 10
51.53, 25
53.18, 11
64.44, 23
66.78, 23
68.19, 10

(6)
Starting from DFT lattice parameters and positions (GGA-PBE), the powder XRD pattern of Rb2CdAsBr6 was calculated for Cu Kα (λ = 1.5418 Å).
Kinematic intensities with the Lorentz-polarization factor, no thermal factor.

Unit cell a=7.8810 b=7.8810 c=7.8810 alpha=119.88 beta=119.88 gamma=90.21
Positions (direct):
Rb  0.2500  0.7500  0.5000
Rb  0.7500  0.2500  0.5000
Cd  0.0000  0.0000  0.0000
As  0.5000  0.5000  0.0000
Br  0.2549  0.2549  0.0000
Br  0.2570  0.2570  0.5140
Br  0.2570  0.7430  0.0000
Br  0.7430  0.2570  0.0000
Br  0.7430  0.7430  0.4860
Br  0.7451  0.7451  0.0000

Peak list (10 most intense, 5° ≤ 2θ ≤ 70°, sorted by position)
Position (°2θ), Rel. int.
15.89, 37
22.55, 38
27.71, 85
32.06, 94
32.18, 47
35.98, 12
39.59, 17
46.04, 100
54.53, 24
57.23, 34

(7)
Starting from DFT lattice parameters and positions (GGA-PBE), the powder XRD pattern of Tl2CrGaTe4 was calculated for Cu Kα (λ = 1.5418 Å).
Kinematic intensities with the Lorentz-polarization factor, no thermal factor.

Unit cell a=8.7012 b=8.7012 c=8.7012 alpha=121.68 beta=118.63 gamma=89.75
Positions (direct):
Tl  0.0000  0.0000  0.0000
Tl  0.5000  0.0000  0.0000
Tl  0.5000  0.0000  0.5000
Tl  0.5000  0.5000  0.5000
Cr  0.0000  0.0000  0.5000
Cr  0.0000  0.5000  0.0000
Ga  0.0000  0.5000  0.5000
Ga  0.5000  0.5000  0.0000
Te  0.1948  0.7397  0.4551
Te  0.2155  0.2603  0.9551
Te  0.2250  0.2448  0.5198
Te  0.2250  0.7051  0.9802
Te  0.7750  0.2949  0.0198
Te  0.7750  0.7552  0.4802
Te  0.7845  0.7397  0.0449
Te  0.8052  0.2603  0.5449

Peak list (10 most intense, 5° ≤ 2θ ≤ 70°, sorted by position)
Position (°2θ), Rel. int.
28.96, 50
29.12, 100
31.96, 17
40.63, 17
41.54, 68
42.66, 19
50.67, 15
52.38, 18
68.08, 11
68.33, 12

(8)
Starting from DFT lattice parameters and positions (GGA-PBE), the powder XRD pattern of TbPmPr2Dy2 was calculated for Cu Kα (λ = 1.5418 Å).
Kinematic intensities with the Lorentz-polarization factor, no thermal factor.

Unit cell a=7.0549 b=5.7318 c=9.9312 alpha=90.00 beta=90.00 gamma=90.00
Positions (direct):
Tb  0.2500  0.0000  0.1639
Tb  0.7500  0.0000  0.8361
Pm  0.0000  0.5000  0.0000
Pm  0.5000  0.5000  0.0000
Pr  0.0000  0.0000  0.5000
Pr  0.2500  0.5000  0.6707
Pr  0.5000  0.0000  0.5000
Pr  0.7500  0.5000  0.3293
Dy  0.2500  0.0000  0.8334
Dy  0.2500  0.5000  0.3342
Dy  0.7500  0.0000  0.1666
Dy  0.7500  0.5000  0.6658

Peak list (10 most intense, 5° ≤ 2θ ≤ 70°, sorted by position)
Position (°2θ), Rel. int.
25.25, 8
31.10, 88
31.20, 100
40.55, 13
44.64, 32
51.84, 8
55.49, 54
61.76, 29
61.94, 4
65.08, 12

(9)
Starting from DFT lattice parameters and positions (GGA-PBE), the powder XRD pattern of CsMg was calculated for Cu Kα (λ = 1.5418 Å).
Kinematic intensities with the Lorentz-polarization factor, no thermal factor.

Unit cell a=10.0765 b=10.0765 c=10.0765 alpha=92.84 beta=92.84 gamma=154.30
Positions (direct):
Cs  0.1307  0.1810  0.3117
Cs  0.1810  0.8693  0.0503
Cs  0.8190  0.1307  0.9497
Cs  0.8693  0.8190  0.6883
Mg  0.1155  0.4753  0.5908
Mg  0.4753  0.8845  0.3598
Mg  0.5247  0.1155  0.6402
Mg  0.8845  0.5247  0.4092

Peak list (10 most intense, 5° ≤ 2θ ≤ 70°, sorted by position)
Position (°2θ), Rel. int.
20.21, 81
20.82, 54
25.65, 21
27.23, 37
27.70, 100
28.74, 26
30.60, 21
38.10, 40
44.52, 27
52.09, 20

(10)
Starting from DFT lattice parameters and positions (GGA-PBE), the powder XRD pattern of Ac5La2SmY was calculated for Cu Kα (λ = 1.5418 Å).
Kinematic intensities with the Lorentz-polarization factor, no thermal factor.

Unit cell a=11.8208 b=11.8208 c=11.0642 alpha=90.00 beta=90.00 gamma=151.15
Positions (direct):
Ac  0.0000  0.0000  0.0000
Ac  0.0000  0.0000  0.5000
Ac  0.1308  0.8692  0.7500
Ac  0.2199  0.7801  0.0643
Ac  0.2199  0.7801  0.4357
Ac  0.4963  0.5037  0.7500
Ac  0.5037  0.4963  0.2500
Ac  0.7801  0.2199  0.5643
Ac  0.7801  0.2199  0.9357
Ac  0.8692  0.1308  0.2500
La  0.3855  0.6145  0.0102
La  0.3855  0.6145  0.4898
La  0.6145  0.3855  0.5102
La  0.6145  0.3855  0.9898
Sm  0.3021  0.6979  0.7500
Sm  0.6979  0.3021  0.2500
Y  0.0996  0.9004  0.2500
Y  0.9004  0.0996  0.7500

Peak list (10 most intense, 5° ≤ 2θ ≤ 70°, sorted by position)
Position (°2θ), Rel. int.
24.67, 14
24.98, 23
28.83, 33
29.52, 100
30.35, 36
31.26, 10
32.36, 20
44.96, 15
45.64, 9
53.41, 20

(11)
Starting from DFT lattice parameters and positions (GGA-PBE), the powder XRD pattern of CuTcBiMo2 was calculated for Cu Kα (λ = 1.5418 Å).
Kinematic intensities with the Lorentz-polarization factor, no thermal factor.

Unit cell a=4.7280 b=4.7280 c=5.1941 alpha=90.00 beta=90.00 gamma=90.00
Positions (direct):
Cu  0.0000  0.0000  0.0000
Tc  0.5000  0.5000  0.5000
Bi  0.5000  0.5000  0.0000
Mo  0.0000  0.5000  0.5000
Mo  0.5000  0.0000  0.5000

Peak list (10 most intense, 5° ≤ 2θ ≤ 70°, sorted by position)
Position (°2θ), Rel. int.
18.77, 74
31.83, 100
34.54, 48
38.07, 73
39.59, 23
42.77, 19
52.33, 58
54.93, 25
64.90, 25
66.52, 28